Sn5O7: calculated powder X-ray diffraction pattern (a wavelength of 1.5418 Å), based on a crystal structure in the Materials Project, relaxed with PBE.
Peak positions follow from Bragg's law for the DFT cell and can differ from measured ones.

Structural model:
```
data_Sn5O7
_symmetry_space_group_name_H-M 'C m c m'
_symmetry_Int_Tables_number 63
_symmetry_space_group_name_Hall '-C 2c 2'
_cell_length_a 3.2812
_cell_length_b 13.2117
_cell_length_c 19.2904
_cell_angle_alpha 90.00
_cell_angle_beta 90.00
_cell_angle_gamma 90.00
loop_
_atom_site_label
_atom_site_type_symbol
_atom_site_fract_x
_atom_site_fract_y
_atom_site_fract_z
Sn1 Sn 0.0000 0.0000 0.0000
Sn2 Sn 0.0000 0.2621 0.0765
Sn3 Sn 0.0000 0.4572 0.6520
O1 O 0.0000 0.1509 0.1521
O2 O 0.0000 0.1519 0.6023
O3 O 0.0000 0.3274 0.5249
O4 O 0.0000 0.4982 0.2500
```

Peak list (12 most intense, 15° ≤ 2θ ≤ 90°, by intensity)
| Position (°2θ) | d [Å] | intensity | (hkl) |
| --- | --- | --- | --- |
| 30.93 | 2.891 | 100 | 0 2 6 |
| 50.24 | 1.816 | 51 | 1 5 5 |
| 27.00 | 3.303 | 49 | 0 4 0 |
| 35.35 | 2.539 | 42 | 1 3 2 |
| 36.91 | 2.435 | 41 | 1 3 3 |
| 33.73 | 2.657 | 39 | 1 1 4 |
| 34.40 | 2.607 | 37 | 1 3 1 |
| 39.00 | 2.310 | 37 | 1 3 4 |
| 29.54 | 3.024 | 32 | 1 1 2 |
| 16.26 | 5.450 | 29 | 0 2 2 |
| 31.35 | 2.854 | 28 | 1 1 3 |
| 55.71 | 1.650 | 27 | 1 1 10 |